Ac3Zn9Ga2: calculated X-ray diffraction stick pattern (Cu Kα, 1.54184 Å), based on the GGA-PBE geometry in Alexandria.

Peak list (12 most intense, 5 to 70 degrees two-theta, by intensity)
2theta	Rel. int.
33.42	100
38.45	37
34.41	36
34.74	25
27.34	25
21.19	24
33.88	21
39.63	19
21.70	17
32.42	16
38.22	16
52.78	16

Structure:
```
Ac3Zn9Ga2
1.0
-2.341 4.705 6.822
2.341 -4.705 6.822
2.341 4.705 -6.822
Ac Zn Ga
3 9 2
Direct
0.000 0.000 0.000 Ac
0.303 0.303 0.000 Ac
0.697 0.697 0.000 Ac
0.020 0.658 0.362 Zn
0.135 0.856 0.278 Zn
0.296 0.658 0.638 Zn
0.422 0.144 0.278 Zn
0.500 0.000 0.500 Zn
0.578 0.856 0.722 Zn
0.704 0.342 0.362 Zn
0.865 0.144 0.722 Zn
0.980 0.342 0.638 Zn
0.295 0.500 0.795 Ga
0.705 0.500 0.205 Ga
```

***

Rb4TbU3Se8: calculated X-ray diffraction stick pattern (Cu Kα, 1.54184 Å), based on the GGA-PBE geometry in Alexandria.

Peak list (12 most intense, 5 to 70 degrees two-theta, by intensity)
2theta	Rel. int.
28.38	100
10.99	44
38.55	36
42.50	36
51.90	19
69.25	16
35.65	15
25.27	13
63.64	12
58.71	11
44.03	10
22.07	9

Structure:
```
Rb4TbU3Se8
1.0
4.254 2.456 8.053
-4.254 2.456 8.053
0.000 -4.912 8.053
Rb Tb U Se
4 1 3 8
Direct
0.000 0.000 0.000 Rb
0.000 0.500 0.500 Rb
0.500 0.000 0.500 Rb
0.500 0.500 0.000 Rb
0.500 0.500 0.500 Tb
0.000 0.000 0.500 U
0.000 0.500 0.000 U
0.500 0.000 0.000 U
0.233 0.233 0.233 Se
0.234 0.732 0.732 Se
0.268 0.268 0.766 Se
0.268 0.766 0.268 Se
0.732 0.234 0.732 Se
0.732 0.732 0.234 Se
0.766 0.268 0.268 Se
0.767 0.767 0.767 Se
```